1.
The following is a theoretical PXRD pattern of MgNiF5. It was derived from DFT lattice parameters and positions (GGA+U), using Cu Ka.
Neutral-atom scattering factors, no anomalous dispersion.

Principal peaks in the range 10° ≤ 2θ ≤ 90°, by angle:
| two_theta | I/Imax |
| --- | --- |
| 18.6 | 292 |
| 20.9 | 733 |
| 26.5 | 1000 |
| 27.5 | 748 |
| 27.7 | 624 |
| 41.7 | 190 |
| 47.9 | 417 |
| 49.6 | 236 |
| 54.1 | 350 |
| 54.4 | 273 |

Unit cell a=5.0606 b=9.5465 c=7.3563 alpha=90.00 beta=110.60 gamma=90.00
Element x y z (fractional)
1 Mg 0.0298 0.0136 0.2520
2 Mg 0.0298 0.4864 0.7520
3 Mg 0.9702 0.5136 0.2480
4 Mg 0.9702 0.9864 0.7480
5 Ni 0.3878 0.2480 0.6022
6 Ni 0.3878 0.2520 0.1022
7 Ni 0.6122 0.7480 0.8978
8 Ni 0.6122 0.7520 0.3978
9 F 0.0856 0.1172 0.5720
10 F 0.0856 0.3828 0.0720
11 F 0.1317 0.1081 0.9881
12 F 0.1317 0.3919 0.4881
13 F 0.3088 0.6306 0.3617
14 F 0.3088 0.8694 0.8617
15 F 0.3334 0.1750 0.3385
16 F 0.3334 0.3250 0.8385
17 F 0.3667 0.6039 0.7861
18 F 0.3667 0.8961 0.2861
19 F 0.6333 0.1039 0.7139
20 F 0.6333 0.3961 0.2139
21 F 0.6666 0.6750 0.1615
22 F 0.6666 0.8250 0.6615
23 F 0.6912 0.1306 0.1383
24 F 0.6912 0.3694 0.6383
25 F 0.8683 0.6081 0.5119
26 F 0.8683 0.8919 0.0119
27 F 0.9144 0.6172 0.9280
28 F 0.9144 0.8828 0.4280

2.
The following is a theoretical PXRD pattern of Li9Mn2Co5O16. It was derived from DFT lattice parameters and positions (GGA+U), using Cu Ka.
Neutral-atom scattering factors, no anomalous dispersion.

Principal peaks in the range 10° ≤ 2θ ≤ 90°, by angle:
| two_theta | I/Imax |
| --- | --- |
| 18.2 | 1000 |
| 35.4 | 139 |
| 36.0 | 259 |
| 42.9 | 266 |
| 43.6 | 531 |
| 47.4 | 89 |
| 57.3 | 96 |
| 62.7 | 209 |
| 62.9 | 137 |
| 63.9 | 72 |

Unit cell a=10.2939 b=2.9127 c=10.3371 alpha=90.00 beta=109.82 gamma=90.00
Element x y z (fractional)
1 Li 0.0000 0.0000 0.0000
2 Li 0.0009 0.5000 0.2440
3 Li 0.0026 0.5000 0.7743
4 Li 0.2489 0.0000 0.2464
5 Li 0.2554 0.0000 0.7636
6 Li 0.4951 0.5000 0.2446
7 Li 0.4987 0.5000 0.7649
8 Li 0.7472 0.0000 0.2393
9 Li 0.7553 0.0000 0.7677
10 Mn 0.4969 0.0000 0.5060
11 Mn 0.7547 0.5000 0.5050
12 Co 0.0044 0.0000 0.5047
13 Co 0.2436 0.5000 0.0073
14 Co 0.2464 0.5000 0.5051
15 Co 0.5058 0.0000 0.0094
16 Co 0.7677 0.5000 0.9986
17 O 0.1117 0.5000 0.6115
18 O 0.1303 0.0000 0.3816
19 O 0.1381 0.0000 0.8858
20 O 0.1437 0.5000 0.1150
21 O 0.3664 0.0000 0.6280
22 O 0.3724 0.5000 0.9020
23 O 0.3746 0.0000 0.1223
24 O 0.3887 0.5000 0.3940
25 O 0.6193 0.5000 0.1219
26 O 0.6220 0.5000 0.6075
27 O 0.6243 0.0000 0.8911
28 O 0.6504 0.0000 0.3921
29 O 0.8588 0.0000 0.6182
30 O 0.8665 0.5000 0.8830
31 O 0.8685 0.0000 0.1235
32 O 0.8849 0.5000 0.4043

3.
The following is a theoretical PXRD pattern of AlVF5. It was derived from DFT lattice parameters and positions (GGA+U), using Cu Ka.
Neutral-atom scattering factors, no anomalous dispersion.

Principal peaks in the range 10° ≤ 2θ ≤ 90°, by angle:
| two_theta | I/Imax |
| --- | --- |
| 23.0 | 1000 |
| 28.2 | 650 |
| 28.5 | 866 |
| 39.7 | 456 |
| 47.1 | 374 |
| 50.1 | 335 |
| 50.7 | 303 |
| 52.4 | 262 |
| 55.8 | 230 |
| 56.0 | 205 |

Unit cell a=3.6007 b=6.3304 c=7.7195 alpha=90.00 beta=90.00 gamma=90.00
Element x y z (fractional)
1 Al 0.0000 0.0000 0.0000
2 Al 0.5000 0.5000 0.5000
3 V 0.0000 0.0000 0.5000
4 V 0.5000 0.5000 0.0000
5 F 0.0000 0.0000 0.2318
6 F 0.0000 0.0000 0.7682
7 F 0.0000 0.2953 0.0000
8 F 0.0000 0.5000 0.5000
9 F 0.0000 0.7047 0.0000
10 F 0.5000 0.0000 0.0000
11 F 0.5000 0.2047 0.5000
12 F 0.5000 0.5000 0.2682
13 F 0.5000 0.5000 0.7318
14 F 0.5000 0.7953 0.5000

4.
The following is a theoretical PXRD pattern of CuMoO4. It was derived from DFT lattice parameters and positions (GGA+U), using Cu Ka.
Neutral-atom scattering factors, no anomalous dispersion.

Principal peaks in the range 10° ≤ 2θ ≤ 90°, by angle:
| two_theta | I/Imax |
| --- | --- |
| 12.6 | 337 |
| 15.1 | 218 |
| 24.8 | 1000 |
| 25.4 | 928 |
| 29.9 | 359 |
| 33.1 | 263 |
| 34.4 | 273 |
| 38.5 | 272 |
| 48.2 | 337 |
| 56.4 | 235 |

Unit cell a=6.3582 b=8.1734 c=9.9292 alpha=104.35 beta=103.18 gamma=94.72
Element x y z (fractional)
1 Cu 0.0725 0.4723 0.1659
2 Cu 0.2205 0.2332 0.9347
3 Cu 0.4039 0.8040 0.4942
4 Cu 0.5961 0.1960 0.5058
5 Cu 0.7795 0.7668 0.0653
6 Cu 0.9275 0.5277 0.8341
7 Mo 0.0846 0.1212 0.3890
8 Mo 0.2850 0.8773 0.1497
9 Mo 0.4300 0.4603 0.7241
10 Mo 0.5700 0.5397 0.2759
11 Mo 0.7150 0.1227 0.8503
12 Mo 0.9154 0.8788 0.6110
13 O 0.0046 0.0750 0.7730
14 O 0.0469 0.2835 0.3074
15 O 0.0579 0.7032 0.0232
16 O 0.1386 0.8887 0.5252
17 O 0.1949 0.4579 0.7961
18 O 0.2910 0.6544 0.3024
19 O 0.2941 0.0228 0.0501
20 O 0.3237 0.2437 0.5601
21 O 0.3414 0.4129 0.1148
22 O 0.3746 0.0309 0.3464
23 O 0.3938 0.6028 0.6203
24 O 0.4724 0.2232 0.8592
25 O 0.5276 0.7768 0.1408
26 O 0.6062 0.3972 0.3797
27 O 0.6254 0.9691 0.6536
28 O 0.6586 0.5871 0.8852
29 O 0.6763 0.7563 0.4399
30 O 0.7059 0.9772 0.9499
31 O 0.7090 0.3456 0.6976
32 O 0.8051 0.5421 0.2039
33 O 0.8614 0.1113 0.4748
34 O 0.9421 0.2968 0.9768
35 O 0.9531 0.7165 0.6926
36 O 0.9954 0.9250 0.2270

5.
The following is a theoretical PXRD pattern of MgV2Cu2O8. It was derived from DFT lattice parameters and positions (GGA+U), using Cu Ka.
Neutral-atom scattering factors, no anomalous dispersion.

Principal peaks in the range 10° ≤ 2θ ≤ 90°, by angle:
| two_theta | I/Imax |
| --- | --- |
| 21.2 | 938 |
| 30.0 | 1000 |
| 34.8 | 854 |
| 35.5 | 320 |
| 46.7 | 454 |
| 47.1 | 165 |
| 47.9 | 159 |
| 56.4 | 322 |
| 60.8 | 139 |
| 65.3 | 205 |

Unit cell a=5.9714 b=5.9714 c=5.9714 alpha=120.18 beta=118.61 gamma=91.06
Element x y z (fractional)
1 Mg 0.0000 0.0000 0.0000
2 V 0.3400 0.3400 0.0000
3 V 0.7380 0.2380 0.5000
4 Cu 0.4743 0.7311 0.7432
5 Cu 0.9879 0.7311 0.2568
6 O 0.2249 0.4550 0.7699
7 O 0.2344 0.5123 0.2779
8 O 0.2344 0.9564 0.7221
9 O 0.3948 0.1104 0.2843
10 O 0.6851 0.4550 0.2301
11 O 0.7998 0.6019 0.8020
12 O 0.7998 0.9978 0.1980
13 O 0.8261 0.1104 0.7157

6.
The following is a theoretical PXRD pattern of Sr2YV2O7. It was derived from DFT lattice parameters and positions (GGA+U), using Cu Ka.
Neutral-atom scattering factors, no anomalous dispersion.

Principal peaks in the range 10° ≤ 2θ ≤ 90°, by angle:
| two_theta | I/Imax |
| --- | --- |
| 17.2 | 146 |
| 23.5 | 164 |
| 27.4 | 375 |
| 31.6 | 1000 |
| 32.8 | 262 |
| 34.1 | 160 |
| 39.1 | 137 |
| 42.6 | 144 |
| 48.1 | 297 |
| 57.8 | 171 |

Unit cell a=13.3801 b=13.3801 c=13.3801 alpha=32.90 beta=157.36 gamma=156.45
Element x y z (fractional)
1 Sr 0.0641 0.1837 0.2478
2 Sr 0.0641 0.3163 0.3804
3 Sr 0.9359 0.6837 0.6196
4 Sr 0.9359 0.8163 0.7522
5 Y 0.0089 0.0089 0.0000
6 Y 0.0089 0.5089 0.5000
7 V 0.5012 0.5904 0.0727
8 V 0.5012 0.9285 0.4108
9 V 0.5177 0.0904 0.5892
10 V 0.5177 0.4285 0.9273
11 O 0.0091 0.3106 0.8024
12 O 0.0091 0.7066 0.1985
13 O 0.0097 0.2015 0.6908
14 O 0.0097 0.8188 0.3081
15 O 0.0178 0.0039 0.5140
16 O 0.4856 0.6631 0.1237
17 O 0.4856 0.8619 0.3225
18 O 0.4899 0.5039 0.4860
19 O 0.5082 0.2066 0.1976
20 O 0.5082 0.8106 0.8015
21 O 0.5107 0.3188 0.3092
22 O 0.5107 0.7015 0.6919
23 O 0.5394 0.1631 0.6775
24 O 0.5394 0.3619 0.8763